No. 1
Theoretical powder diffractogram of MgCdTe2 for Cu Ka, from the GGA-PBE geometry in the Materials Project.
Kinematic intensities with the Lorentz-polarization factor, no thermal factor.

Largest 10 diffraction maxima, in order of rising 2θ, 5° ≤ 2θ ≤ 70°:
2θ = 11.69°, rel. 10
2θ = 22.41°, rel. 8
2θ = 23.44°, rel. 100
2θ = 27.14°, rel. 7
2θ = 29.63°, rel. 5
2θ = 38.75°, rel. 74
2θ = 45.77°, rel. 37
2θ = 45.86°, rel. 12
2θ = 55.96°, rel. 12
2θ = 61.46°, rel. 15

Atomic structure:
abc: 8.0349 8.0349 8.0349
angles: 33.66 33.66 33.66
Fractional positions:
Mg  0.0000  0.0000  0.0000
Cd  0.4992  0.4992  0.4992
Te  0.3727  0.3727  0.3727
Te  0.8760  0.8760  0.8760

=====

No. 2
Theoretical powder diffractogram of Rb2CdP2O7 for Cu Ka, from the GGA-PBE geometry in the Materials Project.
Kinematic intensities with the Lorentz-polarization factor, no thermal factor.

Largest 10 diffraction maxima, in order of rising 2θ, 5° ≤ 2θ ≤ 70°:
2θ = 24.39°, rel. 42
2θ = 24.56°, rel. 97
2θ = 25.42°, rel. 71
2θ = 26.27°, rel. 48
2θ = 26.81°, rel. 52
2θ = 27.19°, rel. 100
2θ = 28.24°, rel. 49
2θ = 31.27°, rel. 50
2θ = 32.72°, rel. 69
2θ = 43.48°, rel. 30

Atomic structure:
abc: 5.4782 10.0643 15.9166
angles: 90.00 92.18 90.00
Fractional positions:
Rb  0.2225  0.1549  0.0757
Rb  0.2225  0.3451  0.5757
Rb  0.2393  0.0217  0.3894
Rb  0.2393  0.4783  0.8894
Rb  0.7607  0.5217  0.1106
Rb  0.7607  0.9783  0.6106
Rb  0.7775  0.6549  0.4243
Rb  0.7775  0.8451  0.9243
Cd  0.2421  0.1125  0.8134
Cd  0.2421  0.3875  0.3134
Cd  0.7579  0.6125  0.6866
Cd  0.7579  0.8875  0.1866
P  0.2552  0.7263  0.2705
P  0.2552  0.7432  0.5861
P  0.2552  0.7568  0.0861
P  0.2552  0.7737  0.7705
P  0.7448  0.2263  0.2295
P  0.7448  0.2432  0.9139
P  0.7448  0.2568  0.4139
P  0.7448  0.2737  0.7295
O  0.0103  0.7039  0.7848
O  0.0103  0.7961  0.2848
O  0.0838  0.6240  0.5970
O  0.0838  0.8760  0.0970
O  0.1744  0.6589  0.0181
O  0.1744  0.8411  0.5181
O  0.2428  0.6662  0.1744
O  0.2428  0.8338  0.6744
O  0.2873  0.6042  0.3275
O  0.2873  0.8958  0.8275
O  0.4719  0.6778  0.7804
O  0.4719  0.8222  0.2804
O  0.4744  0.2022  0.9190
O  0.4744  0.2978  0.4190
O  0.5256  0.7022  0.5810
O  0.5256  0.7978  0.0810
O  0.5281  0.1778  0.7196
O  0.5281  0.3222  0.2196
O  0.7127  0.1042  0.1725
O  0.7127  0.3958  0.6725
O  0.7572  0.1662  0.3256
O  0.7572  0.3338  0.8256
O  0.8256  0.1589  0.4819
O  0.8256  0.3411  0.9819
O  0.9162  0.1240  0.9030
O  0.9162  0.3760  0.4030
O  0.9897  0.2039  0.7152
O  0.9897  0.2961  0.2152

=====

No. 3
Theoretical powder diffractogram of Na3AuCl6 for Cu Ka, from the GGA-PBE geometry in the Materials Project.
Kinematic intensities with the Lorentz-polarization factor, no thermal factor.

Largest 10 diffraction maxima, in order of rising 2θ, 5° ≤ 2θ ≤ 70°:
2θ = 14.82°, rel. 98
2θ = 17.13°, rel. 100
2θ = 24.31°, rel. 55
2θ = 28.59°, rel. 54
2θ = 34.65°, rel. 67
2θ = 38.89°, rel. 49
2θ = 42.78°, rel. 26
2θ = 45.51°, rel. 25
2θ = 49.81°, rel. 44
2θ = 52.26°, rel. 25

Atomic structure:
abc: 7.3225 7.3225 7.3225
angles: 60.00 60.00 60.00
Fractional positions:
Na  0.0000  0.0000  0.0000
Na  0.2500  0.2500  0.2500
Na  0.7500  0.7500  0.7500
Au  0.5000  0.5000  0.5000
Cl  0.2589  0.2589  0.7411
Cl  0.2589  0.7411  0.2589
Cl  0.2589  0.7411  0.7411
Cl  0.7411  0.2589  0.2589
Cl  0.7411  0.2589  0.7411
Cl  0.7411  0.7411  0.2589

=====

No. 4
Theoretical powder diffractogram of K2YCl5 for Cu Ka, from the GGA-PBE geometry in the Materials Project.
Kinematic intensities with the Lorentz-polarization factor, no thermal factor.

Largest 10 diffraction maxima, in order of rising 2θ, 5° ≤ 2θ ≤ 70°:
2θ = 12.91°, rel. 100
2θ = 13.57°, rel. 51
2θ = 24.52°, rel. 51
2θ = 29.53°, rel. 52
2θ = 31.28°, rel. 96
2θ = 33.49°, rel. 83
2θ = 34.57°, rel. 52
2θ = 37.71°, rel. 55
2θ = 42.07°, rel. 62
2θ = 42.23°, rel. 51

Atomic structure:
abc: 13.0523 8.5597 8.0571
angles: 90.00 90.00 90.00
Fractional positions:
K  0.1740  0.9998  0.0336
K  0.1740  0.5002  0.0336
K  0.3260  0.0002  0.5336
K  0.3260  0.4998  0.5336
K  0.6740  0.9998  0.4664
K  0.6740  0.5002  0.4664
K  0.8260  0.0002  0.9664
K  0.8260  0.4998  0.9664
Y  0.0024  0.2500  0.5733
Y  0.4976  0.7500  0.0733
Y  0.5024  0.2500  0.9267
Y  0.9976  0.7500  0.4267
Cl  0.0130  0.2500  0.9110
Cl  0.0801  0.5403  0.6537
Cl  0.0801  0.9597  0.6537
Cl  0.1644  0.2500  0.3658
Cl  0.1956  0.7500  0.3308
Cl  0.3044  0.2500  0.8308
Cl  0.3356  0.7500  0.8658
Cl  0.4199  0.0403  0.1537
Cl  0.4199  0.4597  0.1537
Cl  0.4870  0.7500  0.4110
Cl  0.5130  0.2500  0.5890
Cl  0.5801  0.5403  0.8463
Cl  0.5801  0.9597  0.8463
Cl  0.6644  0.2500  0.1342
Cl  0.6956  0.7500  0.1692
Cl  0.8044  0.2500  0.6692
Cl  0.8356  0.7500  0.6342
Cl  0.9199  0.0403  0.3463
Cl  0.9199  0.4597  0.3463
Cl  0.9870  0.7500  0.0890

=====

No. 5
Theoretical powder diffractogram of Sc2BeB2Ir5 for Cu Ka, from the GGA-PBE geometry in the Materials Project.
Kinematic intensities with the Lorentz-polarization factor, no thermal factor.

Largest 10 diffraction maxima, in order of rising 2θ, 5° ≤ 2θ ≤ 70°:
2θ = 21.32°, rel. 28
2θ = 30.05°, rel. 100
2θ = 30.32°, rel. 69
2θ = 34.70°, rel. 52
2θ = 37.14°, rel. 42
2θ = 39.88°, rel. 90
2θ = 43.22°, rel. 91
2θ = 43.42°, rel. 31
2θ = 46.55°, rel. 58
2θ = 50.73°, rel. 50

Atomic structure:
abc: 9.3208 9.3208 2.9736
angles: 90.00 90.00 90.00
Fractional positions:
Sc  0.1765  0.3235  0.0000
Sc  0.3235  0.8235  0.0000
Sc  0.6765  0.1765  0.0000
Sc  0.8235  0.6765  0.0000
Be  0.0000  0.0000  0.0000
Be  0.5000  0.5000  0.0000
B  0.1281  0.6281  0.0000
B  0.3719  0.1281  0.0000
B  0.6281  0.8719  0.0000
B  0.8719  0.3719  0.0000
Ir  0.0000  0.5000  0.5000
Ir  0.0682  0.7915  0.5000
Ir  0.2085  0.0682  0.5000
Ir  0.2915  0.5682  0.5000
Ir  0.4318  0.2915  0.5000
Ir  0.5000  0.0000  0.5000
Ir  0.5682  0.7085  0.5000
Ir  0.7085  0.4318  0.5000
Ir  0.7915  0.9318  0.5000
Ir  0.9318  0.2085  0.5000

=====

No. 6
Theoretical powder diffractogram of SrCdB2O5 for Cu Ka, from the GGA-PBE geometry in the Materials Project.
Kinematic intensities with the Lorentz-polarization factor, no thermal factor.

Largest 10 diffraction maxima, in order of rising 2θ, 5° ≤ 2θ ≤ 70°:
2θ = 15.58°, rel. 25
2θ = 22.90°, rel. 25
2θ = 26.15°, rel. 45
2θ = 29.08°, rel. 44
2θ = 29.66°, rel. 57
2θ = 31.21°, rel. 100
2θ = 34.77°, rel. 22
2θ = 36.35°, rel. 23
2θ = 42.32°, rel. 22
2θ = 49.19°, rel. 30

Atomic structure:
abc: 6.4472 6.4472 11.2664
angles: 95.43 95.43 106.35
Fractional positions:
Sr  0.1327  0.8673  0.7500
Sr  0.3161  0.6839  0.2500
Sr  0.6839  0.3161  0.7500
Sr  0.8673  0.1327  0.2500
Cd  0.2374  0.4334  0.5568
Cd  0.4334  0.2374  0.0568
Cd  0.5666  0.7626  0.9432
Cd  0.7626  0.5666  0.4432
B  0.0435  0.7704  0.9963
B  0.1755  0.3685  0.8313
B  0.2296  0.9565  0.5037
B  0.3685  0.1755  0.3313
B  0.6315  0.8245  0.6687
B  0.7704  0.0435  0.4963
B  0.8245  0.6315  0.1687
B  0.9565  0.2296  0.0037
O  0.0035  0.7695  0.1187
O  0.1147  0.4708  0.7401
O  0.1207  0.3124  0.0963
O  0.1358  0.7444  0.5237
O  0.2305  0.9965  0.3813
O  0.2556  0.8642  0.9763
O  0.3124  0.1207  0.5963
O  0.3720  0.3842  0.3724
O  0.3842  0.3720  0.8724
O  0.4708  0.1147  0.2401
O  0.5292  0.8853  0.7599
O  0.6158  0.6280  0.1276
O  0.6280  0.6158  0.6276
O  0.6876  0.8793  0.4037
O  0.7444  0.1358  0.0237
O  0.7695  0.0035  0.6187
O  0.8642  0.2556  0.4763
O  0.8793  0.6876  0.9037
O  0.8853  0.5292  0.2599
O  0.9965  0.2305  0.8813

=====

No. 7
Theoretical powder diffractogram of NdInCu for Cu Ka, from the GGA-PBE geometry in the Materials Project.
Kinematic intensities with the Lorentz-polarization factor, no thermal factor.

Largest 10 diffraction maxima, in order of rising 2θ, 5° ≤ 2θ ≤ 70°:
2θ = 32.11°, rel. 100
2θ = 34.96°, rel. 82
2θ = 36.11°, rel. 57
2θ = 41.15°, rel. 21
2θ = 42.51°, rel. 15
2θ = 44.17°, rel. 24
2θ = 49.97°, rel. 12
2θ = 55.07°, rel. 23
2θ = 58.32°, rel. 28
2θ = 65.93°, rel. 25

Atomic structure:
abc: 7.5992 7.5992 4.1010
angles: 90.00 90.00 120.00
Fractional positions:
Nd  0.0000  0.5866  0.0000
Nd  0.4134  0.4134  0.0000
Nd  0.5866  0.0000  0.0000
In  0.0000  0.2486  0.5000
In  0.2486  0.0000  0.5000
In  0.7514  0.7514  0.5000
Cu  0.0000  0.0000  0.0000
Cu  0.3333  0.6667  0.5000
Cu  0.6667  0.3333  0.5000

=====

No. 8
Theoretical powder diffractogram of BePdO3 for Cu Ka, from the GGA-PBE geometry in the Materials Project.
Kinematic intensities with the Lorentz-polarization factor, no thermal factor.

Largest 6 diffraction maxima, in order of rising 2θ, 5° ≤ 2θ ≤ 70°:
2θ = 25.46°, rel. 94
2θ = 36.32°, rel. 100
2θ = 44.87°, rel. 84
2θ = 52.30°, rel. 44
2θ = 59.04°, rel. 39
2θ = 65.34°, rel. 37

Atomic structure:
abc: 3.4985 3.4985 3.4985
angles: 90.00 90.00 90.00
Fractional positions:
Be  0.0000  0.0000  0.0000
Pd  0.5000  0.5000  0.5000
O  0.0000  0.0000  0.5000
O  0.0000  0.5000  0.0000
O  0.5000  0.0000  0.0000

=====

No. 9
Theoretical powder diffractogram of ZrAlPd for Cu Ka, from the GGA-PBE geometry in the Materials Project.
Kinematic intensities with the Lorentz-polarization factor, no thermal factor.

Largest 10 diffraction maxima, in order of rising 2θ, 5° ≤ 2θ ≤ 70°:
2θ = 10.45°, rel. 69
2θ = 28.50°, rel. 28
2θ = 37.26°, rel. 94
2θ = 37.39°, rel. 25
2θ = 38.68°, rel. 28
2θ = 39.60°, rel. 24
2θ = 39.97°, rel. 97
2θ = 40.18°, rel. 100
2θ = 40.67°, rel. 47
2θ = 68.53°, rel. 34

Atomic structure:
abc: 8.4661 5.3313 5.3313
angles: 60.83 90.00 90.00
Fractional positions:
Zr  0.1812  0.0000  0.0000
Zr  0.3018  0.3318  0.3318
Zr  0.6982  0.3318  0.3318
Zr  0.8188  0.0000  0.0000
Al  0.2452  0.6681  0.6681
Al  0.5000  0.3159  0.8357
Al  0.5000  0.8357  0.3159
Al  0.7548  0.6681  0.6681
Pd  0.0000  0.0021  0.4952
Pd  0.0000  0.4952  0.0021
Pd  0.0000  0.4962  0.4962
Pd  0.5000  0.8304  0.8304

=====

No. 10
Theoretical powder diffractogram of KIO3 for Cu Ka, from the GGA-PBE geometry in the Materials Project.
Kinematic intensities with the Lorentz-polarization factor, no thermal factor.

Largest 10 diffraction maxima, in order of rising 2θ, 5° ≤ 2θ ≤ 70°:
2θ = 19.60°, rel. 94
2θ = 27.55°, rel. 100
2θ = 28.16°, rel. 84
2θ = 39.81°, rel. 53
2θ = 44.34°, rel. 17
2θ = 45.15°, rel. 17
2θ = 48.34°, rel. 20
2θ = 49.47°, rel. 33
2θ = 49.85°, rel. 17
2θ = 64.66°, rel. 19

Atomic structure:
abc: 7.7882 7.7909 7.7915
angles: 108.93 108.89 108.79
Fractional positions:
K  0.0000  0.0000  0.0000
K  0.0031  0.4948  0.5160
K  0.4853  0.5007  0.0204
K  0.5051  0.9818  0.5134
I  0.0155  0.0006  0.5114
I  0.5071  0.0046  0.0194
I  0.5076  0.4933  0.5252
I  0.9969  0.5101  0.0192
O  0.0237  0.2032  0.7230
O  0.1596  0.7046  0.9760
O  0.1707  0.1612  0.4339
O  0.1999  0.5132  0.2259
O  0.2059  0.9453  0.6628
O  0.4622  0.2074  0.1670
O  0.4670  0.6500  0.7269
O  0.6648  0.9736  0.2290
O  0.6742  0.4140  0.6713
O  0.7029  0.7008  0.5221
O  0.7096  0.1580  0.9780
O  0.9123  0.6629  0.1728

=====

No. 11
Theoretical powder diffractogram of LaHO for Cu Ka, from the GGA-PBE geometry in the Materials Project.
Kinematic intensities with the Lorentz-polarization factor, no thermal factor.

Largest 10 diffraction maxima, in order of rising 2θ, 5° ≤ 2θ ≤ 70°:
2θ = 19.02°, rel. 5
2θ = 27.02°, rel. 100
2θ = 31.30°, rel. 38
2θ = 33.25°, rel. 1
2θ = 40.23°, rel. 2
2θ = 44.85°, rel. 45
2θ = 53.15°, rel. 43
2θ = 54.44°, rel. 2
2θ = 55.71°, rel. 10
2θ = 65.30°, rel. 7

Atomic structure:
abc: 8.0827 8.0827 5.7155
angles: 90.00 90.00 90.00
Fractional positions:
La  0.0000  0.0000  0.0000
La  0.0000  0.5000  0.0000
La  0.2500  0.2500  0.4432
La  0.2500  0.7500  0.5000
La  0.5000  0.0000  0.0000
La  0.5000  0.5000  0.0000
La  0.7500  0.2500  0.5000
La  0.7500  0.7500  0.5568
H  0.0193  0.2500  0.7438
H  0.2500  0.0193  0.7438
H  0.2500  0.4807  0.7438
H  0.4807  0.2500  0.7438
H  0.5193  0.7500  0.2562
H  0.7500  0.5193  0.2562
H  0.7500  0.9807  0.2562
H  0.9807  0.7500  0.2562
O  0.0140  0.7500  0.7585
O  0.2500  0.5140  0.2415
O  0.2500  0.9860  0.2415
O  0.4860  0.7500  0.7585
O  0.5140  0.2500  0.2415
O  0.7500  0.0140  0.7585
O  0.7500  0.4860  0.7585
O  0.9860  0.2500  0.2415